Structure and simulated X-ray diffraction stick pattern of Li3Cu4F9 (a DFT-relaxed cell (GGA-PBE, the Materials Project); CuKα).
Intensities are scaled so that the largest is 100.

Crystal structure
```
16
Lattice="5.225 0.000 0.000 2.599 4.565 0.000 2.302 -0.583 7.734" Properties=species:S:1:pos:R:3 pbc="T T T"
Li 0.000 0.000 0.000
Li 2.783 1.740 2.262
Li 7.520 2.293 6.541
Cu 4.983 3.913 4.646
Cu 4.902 0.821 7.075
Cu 5.288 3.141 1.744
Cu 5.473 0.476 4.136
F 3.149 0.585 6.146
F 3.698 3.276 2.956
F 4.465 4.364 0.420
F 3.557 0.255 3.325
F 5.769 2.133 5.714
F 4.151 1.476 0.573
F 6.172 1.798 2.880
F 8.498 3.731 5.747
F 6.879 2.997 0.550
```

Largest 6 diffraction maxima, low angle first, 10° ≤ 2θ ≤ 80°:
20.4°, intensity 38.3; 20.9°, intensity 100.0; 21.9°, intensity 97.2; 31.5°, intensity 76.5; 33.9°, intensity 46.2; 34.3°, intensity 81.0

***

Structure and simulated X-ray diffraction stick pattern of Ag2O (a DFT-relaxed cell (GGA-PBE, the Materials Project); CuKα).
Intensities are scaled so that the largest is 100.

Crystal structure
```
6
Lattice="4.841 0.000 0.000 0.000 4.841 0.000 0.000 0.000 4.841" Properties=species:S:1:pos:R:3 pbc="T T T"
Ag 0.000 0.000 0.000
Ag 0.000 2.420 2.420
Ag 2.420 0.000 2.420
Ag 2.420 2.420 0.000
O 1.210 1.210 1.210
O 3.631 3.631 3.631
```

Largest 6 diffraction maxima, low angle first, 10° ≤ 2θ ≤ 80°:
32.0°, intensity 100.0; 37.1°, intensity 42.8; 53.5°, intensity 37.3; 63.8°, intensity 37.8; 67.0°, intensity 9.6; 79.1°, intensity 5.6

***

Structure and simulated X-ray diffraction stick pattern of CdInPd2 (a DFT-relaxed cell (GGA-PBE, the Materials Project); CuKα).
Intensities are scaled so that the largest is 100.

Crystal structure
```
4
Lattice="0.000 3.291 3.291 3.291 0.000 3.291 3.291 3.291 0.000" Properties=species:S:1:pos:R:3 pbc="T T T"
Cd 0.000 0.000 0.000
In 3.291 3.291 3.291
Pd 1.645 1.645 1.645
Pd 4.936 4.936 4.936
```

Largest 3 diffraction maxima, low angle first, 10° ≤ 2θ ≤ 80°:
38.7°, intensity 100.0; 55.9°, intensity 16.7; 70.0°, intensity 33.1

***

Structure and simulated X-ray diffraction stick pattern of MgTl6Sb2S8 (a DFT-relaxed cell (GGA-PBE, the Materials Project); CuKα).
Intensities are scaled so that the largest is 100.

Crystal structure
```
17
Lattice="6.659 0.000 0.000 2.124 6.675 0.000 2.997 -0.936 12.361" Properties=species:S:1:pos:R:3 pbc="T T T"
Mg 0.000 0.000 0.000
Tl 3.962 2.929 9.687
Tl 3.474 1.347 1.214
Tl 4.925 2.759 4.159
Tl 7.528 5.740 10.378
Tl 8.585 5.597 3.897
Tl 8.559 0.306 7.727
Sb 6.752 4.019 7.220
Sb 6.720 3.903 0.726
S 2.447 4.478 0.988
S 4.401 3.965 6.861
S 5.333 -0.407 7.488
S 5.835 5.216 2.587
S 7.236 2.957 9.282
S 7.692 2.921 5.359
S 10.301 5.751 10.515
S 7.011 1.636 1.755
```

Largest 6 diffraction maxima, low angle first, 10° ≤ 2θ ≤ 80°:
18.8°, intensity 87.3; 22.2°, intensity 100.0; 25.0°, intensity 53.0; 28.9°, intensity 62.8; 31.5°, intensity 51.2; 34.5°, intensity 43.3

***

Structure and simulated X-ray diffraction stick pattern of Cs2CuMoCl6 (a DFT-relaxed cell (GGA-PBE, the Materials Project); CuKα).
Intensities are scaled so that the largest is 100.

Crystal structure
```
10
Lattice="0.000 5.110 5.110 5.110 0.000 5.110 5.110 5.110 0.000" Properties=species:S:1:pos:R:3 pbc="T T T"
Cs 2.555 2.555 2.555
Cs 7.665 7.665 7.665
Cu 0.000 0.000 0.000
Mo 5.110 5.110 5.110
Cl 5.110 5.110 2.609
Cl 5.110 2.609 5.110
Cl 7.611 5.110 5.110
Cl 2.609 5.110 5.110
Cl 5.110 7.611 5.110
Cl 5.110 5.110 7.611
```

Largest 6 diffraction maxima, low angle first, 10° ≤ 2θ ≤ 80°:
24.6°, intensity 100.0; 30.3°, intensity 30.4; 35.1°, intensity 65.0; 43.4°, intensity 44.4; 50.5°, intensity 43.0; 68.7°, intensity 22.8

***

Structure and simulated X-ray diffraction stick pattern of Li2BeH4 (a DFT-relaxed cell (GGA-PBE, the Materials Project); CuKα).
Intensities are scaled so that the largest is 100.

Crystal structure
```
42
Lattice="4.858 0.000 0.000 0.463 6.744 0.000 1.166 1.766 12.282" Properties=species:S:1:pos:R:3 pbc="T T T"
Li 0.000 0.000 0.000
Li 1.291 7.906 8.678
Li 0.991 3.883 8.168
Li 2.023 6.035 6.400
Li 3.273 6.028 8.724
Li 3.161 7.080 2.598
Li 3.415 3.049 8.695
Li 2.684 2.054 0.273
Li 2.968 4.986 0.613
Li 3.143 3.547 2.969
Li 5.052 2.277 5.684
Li 5.076 3.497 0.804
Be 0.410 1.174 2.326
Be 0.721 3.906 3.558
Be 0.771 5.669 2.322
Be 5.682 6.131 10.390
Be 5.593 3.716 10.467
Be 5.600 7.003 4.048
H 1.664 2.906 9.652
H 2.086 6.532 9.900
H 1.324 1.251 3.512
H 2.588 4.913 11.424
H 1.911 3.818 4.289
H 2.608 7.302 7.547
H 2.541 4.598 7.594
H 3.150 7.716 11.182
H 3.208 5.343 11.727
H 2.502 2.526 5.529
H 2.518 1.976 6.058
H 3.493 8.273 11.583
H 3.088 6.084 4.837
H 3.510 5.567 5.205
H 3.338 3.345 1.233
H 4.762 6.812 9.486
H 4.661 4.296 9.522
H 4.869 2.879 11.358
H 4.162 1.202 3.452
H 4.478 3.481 4.355
H 4.833 2.515 7.530
H 5.632 6.664 11.758
H 5.269 5.472 3.718
H 5.613 7.059 5.457
```

Largest 6 diffraction maxima, low angle first, 10° ≤ 2θ ≤ 80°:
14.4°, intensity 94.4; 18.4°, intensity 100.0; 35.5°, intensity 76.1; 37.2°, intensity 70.3; 38.9°, intensity 55.2; 41.5°, intensity 56.8